1.
PrPu2Pt2: computed X-ray diffraction stick pattern (a wavelength of 1.5418 Å), based on a structure optimized by DFT (PBE).
Intensities are scaled so that the largest is 1000.

a = 4.1398 Å, b = 13.6518 Å, c = 9.0536 Å
α = 90.00°, β = 90.00°, γ = 90.00°
Space group Cmc2_1 (No. 36)
Symmetry-distinct sites (fractional):
Pr 0.0000 0.0958 0.0000 x4
Pu 0.0000 0.1857 0.6166 x4
Pu 0.0000 0.3877 0.8574 x4
Pt 0.0000 0.2599 0.3194 x4
Pt 0.0000 0.4578 0.1629 x4

Peak list (12 most intense, 10 to 80 degrees two-theta, most intense first)
| index | two_theta | I/Imax |
| --- | --- | --- |
| 1 3 1 | 30.82 | 1000 |
| 1 3 2 | 35.39 | 656 |
| 0 6 1 | 40.85 | 651 |
| 0 2 3 | 32.44 | 464 |
| 1 3 3 | 42.04 | 407 |
| 2 0 0 | 43.73 | 386 |
| 1 1 2 | 29.97 | 340 |
| 1 1 3 | 37.46 | 298 |
| 0 2 1 | 16.26 | 292 |
| 1 5 4 | 57.38 | 214 |
| 0 0 4 | 39.85 | 212 |
| 2 2 3 | 55.49 | 208 |

=====

2.
Er6ScPb: computed X-ray diffraction stick pattern (a wavelength of 1.5418 Å), based on a structure optimized by DFT (PBE).
Intensities are scaled so that the largest is 1000.

a = 6.9096 Å, b = 6.9096 Å, c = 4.8386 Å
α = 90.00°, β = 90.00°, γ = 90.00°
Space group P4/mmm (No. 123)
Symmetry-distinct sites (fractional):
Er 0.0000 0.5000 0.0000 x2
Er 0.2442 0.2442 0.5000 x4
Sc 0.0000 0.0000 0.0000 x1
Pb 0.5000 0.5000 0.0000 x1

Peak list (12 most intense, 10 to 80 degrees two-theta, most intense first)
| index | two_theta | I/Imax |
| --- | --- | --- |
| 2 0 1 | 31.83 | 1000 |
| 2 2 0 | 36.79 | 339 |
| 4 2 1 | 63.17 | 280 |
| 2 2 2 | 53.29 | 235 |
| 0 0 2 | 37.16 | 166 |
| 2 0 3 | 63.67 | 138 |
| 4 0 2 | 66.51 | 120 |
| 4 0 0 | 53.01 | 119 |
| 1 0 1 | 22.43 | 50 |
| 1 0 0 | 12.81 | 45 |
| 4 4 0 | 78.27 | 38 |
| 2 1 0 | 28.89 | 28 |

=====

3.
Tb4DyS4: computed X-ray diffraction stick pattern (a wavelength of 1.5418 Å), based on a structure optimized by DFT (PBE).
Intensities are scaled so that the largest is 1000.

a = 8.6928 Å, b = 8.6928 Å, c = 5.5283 Å
α = 90.00°, β = 90.00°, γ = 90.00°
Space group I4/m (No. 87)
Symmetry-distinct sites (fractional):
Tb 0.1028 0.6983 0.0000 x8
Dy 0.0000 0.0000 0.5000 x2
S 0.0984 0.6995 0.5000 x8

Peak list (12 most intense, 10 to 80 degrees two-theta, most intense first)
| index | two_theta | I/Imax |
| --- | --- | --- |
| 1 2 1 | 28.06 | 1000 |
| 3 1 0 | 32.57 | 680 |
| 3 1 2 | 46.60 | 495 |
| 0 0 2 | 32.39 | 346 |
| 5 0 1 | 55.40 | 318 |
| 2 4 2 | 58.01 | 256 |
| 2 4 0 | 46.73 | 245 |
| 1 2 3 | 55.16 | 161 |
| 5 0 3 | 75.12 | 129 |
| 3 1 4 | 77.27 | 111 |
| 6 2 2 | 77.57 | 110 |
| 5 5 0 | 77.67 | 109 |

=====

4.
CsErTe2Au: computed X-ray diffraction stick pattern (a wavelength of 1.5418 Å), based on a structure optimized by DFT (PBE).
Intensities are scaled so that the largest is 1000.

a = 9.0935 Å, b = 4.7863 Å, c = 8.5714 Å
α = 90.00°, β = 93.51°, γ = 90.00°
Space group P2/c (No. 13)
Symmetry-distinct sites (fractional):
Cs 0.0000 0.0708 0.2500 x2
Er 0.5000 0.4981 0.7500 x2
Te 0.2706 0.3894 0.9856 x4
Au 0.5000 0.0000 0.0000 x2

Peak list (12 most intense, 10 to 80 degrees two-theta, most intense first)
| index | two_theta | I/Imax |
| --- | --- | --- |
| 1 1 2 | 30.12 | 1000 |
| 3 1 -2 | 40.15 | 865 |
| 1 1 -2 | 29.25 | 799 |
| 2 1 0 | 27.08 | 611 |
| 2 1 -2 | 33.60 | 548 |
| 2 1 2 | 35.12 | 529 |
| 4 0 0 | 39.72 | 496 |
| 3 1 2 | 42.09 | 454 |
| 0 0 4 | 42.25 | 436 |
| 2 0 0 | 19.56 | 372 |
| 1 1 1 | 23.71 | 361 |
| 2 0 2 | 29.56 | 306 |

=====

5.
Ca4Pu3TaN8: computed X-ray diffraction stick pattern (a wavelength of 1.5418 Å), based on a structure optimized by DFT (PBE).
Intensities are scaled so that the largest is 1000.

a = 6.8480 Å, b = 6.8480 Å, c = 16.8703 Å
α = 90.00°, β = 90.00°, γ = 120.00°
Space group R-3m (No. 166, hexagonal axes)
Symmetry-distinct sites (fractional):
Ca 0.0000 0.0000 0.0000 x3
Ca 0.0000 0.5000 0.0000 x9
Pu 0.0000 0.5000 0.5000 x9
Ta 0.0000 0.0000 0.5000 x3
N 0.0000 0.0000 0.2383 x6
N 0.0198 0.5099 0.2372 x18

Peak list (12 most intense, 10 to 80 degrees two-theta, most intense first)
| index | two_theta | I/Imax |
| --- | --- | --- |
| 0 0 3 | 15.76 | 1000 |
| 0 2 4 | 37.06 | 932 |
| 2 0 2 | 31.99 | 923 |
| 0 2 1 | 30.61 | 569 |
| 2 2 6 | 63.67 | 420 |
| 0 0 6 | 31.83 | 318 |
| 2 2 0 | 53.53 | 317 |
| 2 0 8 | 53.31 | 313 |
| 2 0 5 | 40.50 | 254 |
| 2 2 3 | 56.16 | 244 |
| 0 2 7 | 48.69 | 197 |
| 4 0 4 | 66.89 | 158 |